# SrMgNiP2O8
Simulated X-ray powder pattern, a wavelength of 1.5418 Å. Input: a DFT-relaxed cell (PBE+U, the Materials Project).
Kinematic intensities with the Lorentz-polarization factor, no thermal factor.

Crystal structure
```
data_SrMgNiP2O8
_chemical_formula_sum 'Sr2 Mg2 Ni2 P4 O16'
_cell_length_a 5.507
_cell_length_b 6.914
_cell_length_c 9.298
_cell_angle_alpha 111.11
_cell_angle_beta 101.18
_cell_angle_gamma 97.99
_symmetry_space_group_name_H-M 'P -1'
_symmetry_Int_Tables_number 2
loop_
_symmetry_equiv_pos_as_xyz
'x,y,z'
'-x,-y,-z'
loop_
_atom_site_label
_atom_site_type_symbol
_atom_site_fract_x
_atom_site_fract_y
_atom_site_fract_z
Sr1 Sr 0.249 0.198 0.448
Mg1 Mg 0.485 0.388 0.155
Ni1 Ni 0.141 0.853 0.061
P1 P 0.103 0.574 0.261
P2 P 0.344 0.026 0.804
O1 O 0.117 0.408 0.097
O2 O 0.121 0.955 0.870
O3 O 0.161 0.473 0.707
O4 O 0.162 0.801 0.264
O5 O 0.241 0.005 0.634
O6 O 0.320 0.547 0.382
O7 O 0.456 0.117 0.196
O8 O 0.498 0.745 0.074
```

Largest 12 diffraction maxima, in order of rising 2θ, 10 to 80 degrees two-theta:
2θ = 14.10°, d 6.279, intensity 22.9, hkl 0 1 0; 2θ = 21.55°, d 4.124, intensity 20.7, hkl 1 -1 1; 2θ = 22.70°, d 3.918, intensity 17.8, hkl -1 1 1; 2θ = 27.93°, d 3.195, intensity 100.0, hkl 0 2 -2; 2θ = 29.79°, d 2.999, intensity 19.1, hkl -1 1 2; 2θ = 30.55°, d 2.926, intensity 52.6, hkl 1 1 1; 2θ = 31.29°, d 2.858, intensity 17.9, hkl 1 1 -3; 2θ = 32.11°, d 2.787, intensity 37.4, hkl 1 0 -3; 2θ = 32.89°, d 2.723, intensity 32.1, hkl 2 0 -1; 2θ = 33.83°, d 2.649, intensity 50.6, hkl -1 2 1; 2θ = 39.62°, d 2.275, intensity 17.4, hkl 0 1 -4; 2θ = 46.53°, d 1.952, intensity 20.7, hkl 1 3 -1